1.
Starting from the PBE geometry in Alexandria, the X-ray powder pattern of Sm6Y3Sc2 was simulated for Cu Kα X-rays.
No peak broadening, texture or thermal motion is included.

Crystal structure
```
Sm6Y3Sc2
1.0
-2.380 2.380 16.099
2.380 -2.380 16.099
2.380 2.380 -16.099
Sm Y Sc
6 3 2
Cartesian
2.380 0.000 3.683
0.000 0.000 6.185
2.380 0.000 12.416
0.000 2.380 3.683
0.000 0.000 26.013
0.000 2.380 12.416
0.000 0.000 9.639
0.000 0.000 16.099
0.000 0.000 22.559
0.000 0.000 1.389
0.000 0.000 30.809
```

Peak list (10 most intense, 2θ from 5° to 70°, in order of rising 2θ)
d_spacing	intensity
16.099	20
8.049	42
3.220	29
3.105	100
2.853	45
2.582	77
2.380	59
1.914	26
1.480	21
1.410	23

2.
Starting from the PBE geometry in Alexandria, the X-ray powder pattern of Sm8GaRh3I4 was simulated for Cu Kα X-rays.
No peak broadening, texture or thermal motion is included.

Crystal structure
```
Sm8GaRh3I4
1.0
4.203 2.427 7.968
-4.203 2.427 7.968
0.000 -4.854 7.968
Sm Ga Rh I
8 1 3 4
Cartesian
-2.190 -1.265 13.433
0.000 0.000 5.497
0.000 -2.529 10.471
-2.190 1.265 10.471
2.190 -1.265 13.433
0.000 2.529 13.433
0.000 0.000 18.407
2.190 1.265 10.471
0.000 0.000 11.952
-4.203 0.000 11.952
-2.102 1.213 3.984
2.102 1.213 3.984
0.000 0.000 0.000
-2.102 -1.213 7.968
-2.102 1.213 15.936
0.000 2.427 7.968
```

Peak list (10 most intense, 2θ from 5° to 70°, in order of rising 2θ)
d_spacing	intensity
7.968	10
3.109	100
2.896	16
2.656	9
2.491	10
2.310	26
2.102	38
1.741	18
1.648	12
1.554	7